NiSn2N2: computed powder X-ray diffraction pattern (a wavelength of 1.5418 Å), based on a structure optimized by DFT (GGA-PBE).

Most intense lines, 2θ = 5–70°, by angle:
| 2θ/deg | I (rel.) | (hkl) |
| --- | --- | --- |
| 25.1 | 296 | 1 0 3 |
| 29.3 | 356 | 0 0 4 |
| 32.4 | 1000 | 1 1 2 |
| 32.9 | 170 | 2 0 3 |
| 34.3 | 157 | 0 1 3 |
| 36.7 | 495 | 2 1 1 |
| 37.5 | 261 | 3 0 1 |
| 39.0 | 176 | 1 0 5 |
| 43.2 | 135 | 3 0 3 |
| 52.5 | 193 | 2 1 5 |
| 53.7 | 180 | 0 2 0 |
| 55.2 | 190 | 3 1 4 |

Structural model:
```
data_NiSn2N2
_chemical_formula_sum 'Ni4 Sn8 N8'
_symmetry_space_group_name_H-M 'P n m a'
_symmetry_Int_Tables_number 62
_cell_length_a 7.3322
_cell_length_b 3.4158
_cell_length_c 12.1798
_cell_angle_alpha 90.00
_cell_angle_beta 90.00
_cell_angle_gamma 90.00
loop_
_symmetry_equiv_pos_as_xyz
'x,y,z'
'-x,-y,-z'
'-x+1/2,-y,z+1/2'
'x+1/2,y,-z+1/2'
'x+1/2,-y+1/2,-z+1/2'
'-x+1/2,y+1/2,z+1/2'
'-x,y+1/2,-z'
'x,-y+1/2,z'
loop_
_atom_site_label
_atom_site_fract_x
_atom_site_fract_y
_atom_site_fract_z
Ni1 0.2241 0.2500 0.1298
Sn1 0.0006 0.2500 0.6535
Sn2 0.1382 0.7500 0.9144
N1 0.1599 0.2500 0.2792
N2 0.2083 0.7500 0.4758
```

---

SrNiN4: computed powder X-ray diffraction pattern (a wavelength of 1.5418 Å), based on a structure optimized by DFT (GGA-PBE).

Most intense lines, 2θ = 5–70°, by angle:
| 2θ/deg | I (rel.) | (hkl) |
| --- | --- | --- |
| 20.4 | 217 | 1 0 1 |
| 25.3 | 429 | 1 1 0 |
| 25.4 | 420 | 1 -1 1 |
| 28.4 | 464 | 0 0 2 |
| 28.6 | 304 | 1 0 -1 |
| 28.7 | 303 | 1 0 2 |
| 29.5 | 1000 | 0 2 1 |
| 30.6 | 333 | 1 1 2 |
| 33.3 | 471 | 0 2 -1 |
| 38.8 | 435 | 2 0 1 |
| 43.1 | 196 | 0 0 3 |
| 49.6 | 219 | 2 -2 0 |

Structural model:
```
data_SrNiN4
_chemical_formula_sum 'Sr2 Ni2 N8'
_symmetry_space_group_name_H-M 'P -1'
_symmetry_Int_Tables_number 2
_cell_length_a 4.6379
_cell_length_b 6.4476
_cell_length_c 6.7667
_cell_angle_alpha 82.02
_cell_angle_beta 70.12
_cell_angle_gamma 89.65
loop_
_symmetry_equiv_pos_as_xyz
'x,y,z'
'-x,-y,-z'
loop_
_atom_site_label
_atom_site_fract_x
_atom_site_fract_y
_atom_site_fract_z
Sr1 0.1933 0.2272 0.1138
Ni1 0.0000 0.5000 0.5000
Ni2 0.5000 0.0000 0.5000
N1 0.1306 0.0004 0.5003
N2 0.2043 0.6351 0.0930
N3 0.2108 0.8227 0.0802
N4 0.3741 0.4990 0.5001
```

---

Ta3Ni3N: computed powder X-ray diffraction pattern (a wavelength of 1.5418 Å), based on a structure optimized by DFT (GGA-PBE).

Most intense lines, 2θ = 5–70°, by angle:
| 2θ/deg | I (rel.) | (hkl) |
| --- | --- | --- |
| 13.6 | 93 | 1 1 1 |
| 22.3 | 83 | 2 2 0 |
| 31.7 | 221 | 4 0 0 |
| 34.6 | 262 | 3 3 1 |
| 39.1 | 541 | 4 2 2 |
| 41.5 | 1000 | 3 3 3 |
| 45.4 | 369 | 4 4 0 |
| 48.3 | 29 | 4 4 2 |
| 58.3 | 126 | 5 5 1 |
| 63.2 | 144 | 7 3 1 |
| 66.2 | 20 | 8 0 0 |
| 67.9 | 131 | 7 3 3 |

Structural model:
Cell: 11.2963 11.2963 11.2963 Å, 90.00 90.00 90.00°
Space group Fd-3m (No. 227, origin choice 2)
Unique sites:
Ta  0.0714  0.3750  0.3750 (multiplicity 48)
Ni  0.0000  0.0000  0.5000 (multiplicity 16)
Ni  0.0404  0.0404  0.7096 (multiplicity 32)
N  0.0000  0.0000  0.0000 (multiplicity 16)

---

Tc3Ni2N: computed powder X-ray diffraction pattern (a wavelength of 1.5418 Å), based on a structure optimized by DFT (GGA-PBE).

Most intense lines, 2θ = 5–70°, by angle:
| 2θ/deg | I (rel.) | (hkl) |
| --- | --- | --- |
| 23.5 | 21 | 1 1 1 |
| 30.4 | 70 | 2 1 0 |
| 33.4 | 24 | 2 1 1 |
| 41.2 | 1000 | 2 2 1 |
| 43.6 | 557 | 3 1 0 |
| 45.8 | 255 | 3 1 1 |
| 48.0 | 13 | 2 2 2 |
| 52.1 | 56 | 3 2 1 |
| 59.7 | 84 | 4 1 1 |
| 63.3 | 75 | 4 2 0 |
| 65.1 | 13 | 4 2 1 |
| 66.8 | 36 | 3 3 2 |

Structural model:
```
data_Tc3Ni2N
_chemical_formula_sum 'Tc12 Ni8 N4'
_symmetry_space_group_name_H-M 'P 41 3 2'
_symmetry_Int_Tables_number 213
_symmetry_space_group_name_Hall 'P 4bd 2ab 3'
_cell_length_a 6.5699
_cell_length_b 6.5699
_cell_length_c 6.5699
_cell_angle_alpha 90.00
_cell_angle_beta 90.00
_cell_angle_gamma 90.00
loop_
_atom_site_label
_atom_site_fract_x
_atom_site_fract_y
_atom_site_fract_z
Tc1 0.0470 0.1250 0.7970
Ni1 0.0651 0.9349 0.4349
N1 0.1250 0.3750 0.6250
```

---

TcNiN: computed powder X-ray diffraction pattern (a wavelength of 1.5418 Å), based on a structure optimized by DFT (GGA-PBE).

Most intense lines, 2θ = 5–70°, by angle:
| 2θ/deg | I (rel.) | (hkl) |
| --- | --- | --- |
| 24.5 | 73 | 0 0 1 |
| 31.1 | 276 | 1 0 0 |
| 40.0 | 1000 | 0 1 1 |
| 50.3 | 118 | 0 0 2 |
| 55.3 | 283 | 1 1 0 |
| 60.3 | 101 | 0 1 2 |
| 61.4 | 29 | 1 1 1 |
| 64.8 | 35 | 2 0 0 |

Structural model:
```
data_TcNiN
_chemical_formula_sum 'Tc1 Ni1 N1'
_symmetry_space_group_name_H-M 'P 3 m 1'
_symmetry_Int_Tables_number 156
_cell_length_a 3.3205
_cell_length_b 3.3205
_cell_length_c 3.6271
_cell_angle_alpha 90.00
_cell_angle_beta 90.00
_cell_angle_gamma 120.00
loop_
_symmetry_equiv_pos_as_xyz
'x,y,z'
'-y,x-y,z'
'-x+y,-x,z'
'-y,-x,z'
'-x+y,y,z'
'x,x-y,z'
loop_
_atom_site_label
_atom_site_fract_x
_atom_site_fract_y
_atom_site_fract_z
Tc1 0.0000 0.0000 0.0000
Ni1 0.3333 0.6667 0.5063
N1 0.6667 0.3333 0.9101
```

---

Ti6Ni3N: computed powder X-ray diffraction pattern (a wavelength of 1.5418 Å), based on a structure optimized by DFT (GGA-PBE).

Most intense lines, 2θ = 5–70°, by angle:
| 2θ/deg | I (rel.) | (hkl) |
| --- | --- | --- |
| 34.5 | 483 | 1 2 -2 |
| 36.0 | 570 | 1 0 2 |
| 38.0 | 358 | 1 2 1 |
| 38.5 | 328 | 1 1 2 |
| 39.7 | 1000 | 2 1 -3 |
| 40.4 | 674 | 1 2 -3 |
| 41.0 | 315 | 2 1 0 |
| 42.1 | 240 | 1 1 -4 |
| 44.4 | 391 | 1 3 -1 |
| 45.3 | 497 | 1 3 0 |
| 45.5 | 359 | 0 0 4 |
| 47.6 | 416 | 2 2 0 |

Structural model:
```
data_Ti6Ni3N
_chemical_formula_sum 'Ti12 Ni6 N2'
_symmetry_space_group_name_H-M 'P 1 21/c 1'
_symmetry_Int_Tables_number 14
_cell_length_a 5.3120
_cell_length_b 6.6460
_cell_length_c 9.0794
_cell_angle_alpha 90.00
_cell_angle_beta 118.60
_cell_angle_gamma 90.00
loop_
_symmetry_equiv_pos_as_xyz
'x,y,z'
'-x,-y,-z'
'-x,y+1/2,-z+1/2'
'x,-y+1/2,z+1/2'
loop_
_atom_site_label
_atom_site_fract_x
_atom_site_fract_y
_atom_site_fract_z
Ti1 0.0750 0.0511 0.2417
Ti2 0.1982 0.7216 0.0669
Ti3 0.3795 0.1447 0.0484
Ni1 0.3258 0.1005 0.7212
Ni2 0.5000 0.0000 0.5000
N1 0.0000 0.0000 0.0000
```

---

Ti7Ni3N10: computed powder X-ray diffraction pattern (a wavelength of 1.5418 Å), based on a structure optimized by DFT (GGA-PBE).

Most intense lines, 2θ = 5–70°, by angle:
| 2θ/deg | I (rel.) | (hkl) |
| --- | --- | --- |
| 18.5 | 40 | 0 1 1 |
| 25.2 | 20 | 1 3 0 |
| 27.3 | 86 | 1 2 1 |
| 33.6 | 360 | 2 0 0 |
| 35.3 | 497 | 0 0 2 |
| 36.4 | 748 | 0 5 1 |
| 43.9 | 60 | 1 3 2 |
| 49.6 | 407 | 2 0 2 |
| 50.4 | 1000 | 2 5 1 |
| 58.6 | 40 | 1 2 3 |
| 64.0 | 190 | 0 5 3 |
| 66.1 | 113 | 0 10 0 |

Structural model:
```
data_Ti7Ni3N10
_chemical_formula_sum 'Ti14 Ni6 N20'
_symmetry_space_group_name_H-M 'I m m 2'
_symmetry_Int_Tables_number 44
_cell_length_a 5.3277
_cell_length_b 14.1312
_cell_length_c 5.0858
_cell_angle_alpha 90.00
_cell_angle_beta 90.00
_cell_angle_gamma 90.00
loop_
_symmetry_equiv_pos_as_xyz
'x,y,z'
'-x,-y,z'
'-x,y,z'
'x,-y,z'
'x+1/2,y+1/2,z+1/2'
'-x+1/2,-y+1/2,z+1/2'
'-x+1/2,y+1/2,z+1/2'
'x+1/2,-y+1/2,z+1/2'
loop_
_atom_site_label
_atom_site_fract_x
_atom_site_fract_y
_atom_site_fract_z
Ti1 0.0000 0.0000 0.0000
Ti2 0.0000 0.1008 0.5056
Ti3 0.0000 0.3003 0.4974
Ti4 0.0000 0.4002 0.9950
Ni1 0.0000 0.2020 0.9444
Ni2 0.0000 0.5000 0.4386
N1 0.2388 0.0000 0.3528
N2 0.2423 0.3007 0.8432
N3 0.2486 0.3994 0.3293
```

---

TlNiN: computed powder X-ray diffraction pattern (a wavelength of 1.5418 Å), based on a structure optimized by DFT (GGA-PBE).

Most intense lines, 2θ = 5–70°, by angle:
| 2θ/deg | I (rel.) | (hkl) |
| --- | --- | --- |
| 26.9 | 1000 | 1 0 1 |
| 33.6 | 510 | 1 0 2 |
| 34.5 | 293 | 0 0 3 |
| 34.7 | 189 | 1 1 0 |
| 36.6 | 285 | 1 1 1 |
| 41.9 | 364 | 1 1 2 |
| 49.7 | 106 | 1 1 3 |
| 49.9 | 238 | 2 0 0 |
| 53.2 | 184 | 1 0 4 |
| 57.6 | 256 | 2 1 1 |
| 61.5 | 177 | 2 1 2 |
| 62.1 | 213 | 2 0 3 |

Structural model:
```
data_TlNiN
_chemical_formula_sum 'Tl2 Ni2 N2'
_symmetry_space_group_name_H-M 'P 4/n m m'
_symmetry_Int_Tables_number 129
_cell_length_a 3.6563
_cell_length_b 3.6563
_cell_length_c 7.7990
_cell_angle_alpha 90.00
_cell_angle_beta 90.00
_cell_angle_gamma 90.00
loop_
_symmetry_equiv_pos_as_xyz
'x,y,z'
'-x,-y,-z'
'-y+1/2,x,z'
'y+1/2,-x,-z'
'-x+1/2,-y+1/2,z'
'x+1/2,y+1/2,-z'
'y,-x+1/2,z'
'-y,x+1/2,-z'
'x+1/2,-y,-z'
'-x+1/2,y,z'
'-y,-x,-z'
'y,x,z'
'-x,y+1/2,-z'
'x,-y+1/2,z'
'y+1/2,x+1/2,-z'
'-y+1/2,-x+1/2,z'
loop_
_atom_site_label
_atom_site_fract_x
_atom_site_fract_y
_atom_site_fract_z
Tl1 0.2500 0.2500 0.1809
Ni1 0.2500 0.7500 0.5000
N1 0.2500 0.2500 0.5841
```

---

V4Ni2N: computed powder X-ray diffraction pattern (a wavelength of 1.5418 Å), based on a structure optimized by DFT (GGA-PBE).

Most intense lines, 2θ = 5–70°, by angle:
| 2θ/deg | I (rel.) | (hkl) |
| --- | --- | --- |
| 14.1 | 81 | 1 1 1 |
| 23.2 | 35 | 2 2 0 |
| 36.1 | 37 | 3 3 1 |
| 40.7 | 296 | 4 2 2 |
| 43.3 | 1000 | 3 3 3 |
| 47.4 | 175 | 4 4 0 |
| 49.7 | 41 | 5 3 1 |
| 50.4 | 148 | 4 4 2 |
| 56.2 | 58 | 6 2 2 |
| 58.9 | 38 | 4 4 4 |
| 61.0 | 68 | 7 1 1 |
| 64.2 | 20 | 6 4 2 |

Structural model:
Cell: 10.8554 10.8554 10.8554 Å, 90.00 90.00 90.00°
Space group Fd-3m (No. 227, origin choice 2)
Unique sites:
V  0.0000  0.0000  0.0000 (multiplicity 16)
V  0.0554  0.3750  0.8750 (multiplicity 48)
Ni  0.0431  0.0431  0.2069 (multiplicity 32)
N  0.0000  0.0000  0.5000 (multiplicity 16)

---

ZnNiN3: computed powder X-ray diffraction pattern (a wavelength of 1.5418 Å), based on a structure optimized by DFT (GGA-PBE).

Most intense lines, 2θ = 5–70°, by angle:
| 2θ/deg | I (rel.) | (hkl) |
| --- | --- | --- |
| 24.0 | 7 | 1 0 0 |
| 34.2 | 1000 | 1 1 0 |
| 42.2 | 47 | 1 1 1 |
| 49.1 | 337 | 2 0 0 |
| 61.2 | 356 | 2 1 1 |

Structural model:
```
data_ZnNiN3
_chemical_formula_sum 'Zn1 Ni1 N3'
_symmetry_space_group_name_H-M 'P m -3 m'
_symmetry_Int_Tables_number 221
_symmetry_space_group_name_Hall '-P 4 2 3'
_cell_length_a 3.7117
_cell_length_b 3.7117
_cell_length_c 3.7117
_cell_angle_alpha 90.00
_cell_angle_beta 90.00
_cell_angle_gamma 90.00
loop_
_atom_site_label
_atom_site_fract_x
_atom_site_fract_y
_atom_site_fract_z
Zn1 0.0000 0.0000 0.0000
Ni1 0.5000 0.5000 0.5000
N1 0.0000 0.5000 0.5000
```

---

ZnNiN2: computed powder X-ray diffraction pattern (a wavelength of 1.5418 Å), based on a structure optimized by DFT (GGA-PBE).

Most intense lines, 2θ = 5–70°, by angle:
| 2θ/deg | I (rel.) | (hkl) |
| --- | --- | --- |
| 34.9 | 1000 | 1 1 2 |
| 40.3 | 215 | 2 0 0 |
| 40.8 | 102 | 0 0 4 |
| 58.3 | 132 | 2 2 0 |
| 58.7 | 262 | 2 0 4 |
| 69.7 | 230 | 3 1 2 |

Structural model:
```
data_ZnNiN2
_chemical_formula_sum 'Zn4 Ni4 N8'
_symmetry_space_group_name_H-M 'I -4 2 d'
_symmetry_Int_Tables_number 122
_symmetry_space_group_name_Hall 'I -4 2bw'
_cell_length_a 4.4776
_cell_length_b 4.4776
_cell_length_c 8.8435
_cell_angle_alpha 90.00
_cell_angle_beta 90.00
_cell_angle_gamma 90.00
loop_
_atom_site_label
_atom_site_fract_x
_atom_site_fract_y
_atom_site_fract_z
Zn1 0.0000 0.0000 0.0000
Ni1 0.0000 0.0000 0.5000
N1 0.2146 0.2500 0.6250
```

---

Zr4NiN: computed powder X-ray diffraction pattern (a wavelength of 1.5418 Å), based on a structure optimized by DFT (GGA-PBE).

Most intense lines, 2θ = 5–70°, by angle:
| 2θ/deg | I (rel.) | (hkl) |
| --- | --- | --- |
| 33.5 | 912 | 0 2 1 |
| 34.1 | 1000 | 2 1 0 |
| 34.3 | 779 | 1 1 -2 |
| 35.1 | 696 | 2 1 -1 |
| 35.4 | 922 | 1 0 2 |
| 37.9 | 405 | 1 2 1 |
| 41.9 | 213 | 2 1 -2 |
| 47.4 | 376 | 1 1 -3 |
| 49.9 | 204 | 1 3 -1 |
| 53.8 | 200 | 3 1 1 |
| 56.6 | 222 | 2 3 -1 |
| 59.3 | 223 | 1 2 3 |

Structural model:
```
data_Zr4NiN
_chemical_formula_sum 'Zr8 Ni2 N2'
_symmetry_space_group_name_H-M 'P 1 21/c 1'
_symmetry_Int_Tables_number 14
_cell_length_a 5.9462
_cell_length_b 5.9620
_cell_length_c 6.1788
_cell_angle_alpha 90.00
_cell_angle_beta 99.58
_cell_angle_gamma 90.00
loop_
_symmetry_equiv_pos_as_xyz
'x,y,z'
'-x,-y,-z'
'-x,y+1/2,-z+1/2'
'x,-y+1/2,z+1/2'
loop_
_atom_site_label
_atom_site_fract_x
_atom_site_fract_y
_atom_site_fract_z
Zr1 0.1124 0.1641 0.1948
Zr2 0.3368 0.6455 0.1094
Ni1 0.5000 0.0000 0.0000
N1 0.0000 0.0000 0.5000
```

---

Please write out number 9 again, unchanged.
V4Ni2N: computed powder X-ray diffraction pattern (a wavelength of 1.5418 Å), based on a structure optimized by DFT (GGA-PBE).

Most intense lines, 2θ = 5–70°, by angle:
| 2θ/deg | I (rel.) | (hkl) |
| --- | --- | --- |
| 14.1 | 81 | 1 1 1 |
| 23.2 | 35 | 2 2 0 |
| 36.1 | 37 | 3 3 1 |
| 40.7 | 296 | 4 2 2 |
| 43.3 | 1000 | 3 3 3 |
| 47.4 | 175 | 4 4 0 |
| 49.7 | 41 | 5 3 1 |
| 50.4 | 148 | 4 4 2 |
| 56.2 | 58 | 6 2 2 |
| 58.9 | 38 | 4 4 4 |
| 61.0 | 68 | 7 1 1 |
| 64.2 | 20 | 6 4 2 |

Structural model:
Cell: 10.8554 10.8554 10.8554 Å, 90.00 90.00 90.00°
Space group Fd-3m (No. 227, origin choice 2)
Unique sites:
V  0.0000  0.0000  0.0000 (multiplicity 16)
V  0.0554  0.3750  0.8750 (multiplicity 48)
Ni  0.0431  0.0431  0.2069 (multiplicity 32)
N  0.0000  0.0000  0.5000 (multiplicity 16)